Record 1
# GdCoSi3
Theoretical powder diffraction line list, CuKα. Input: the GGA-PBE geometry in OQMD.
No peak broadening, texture or thermal motion is included.

Structural model:
Unit cell a=4.0698 b=4.0698 c=9.5295 alpha=90.00 beta=90.00 gamma=90.00
Space group I4mm (No. 107)
One atom of each set of equivalent atoms:
Gd: 0.0000 0.0000 0.0000
Co: 0.0000 0.0000 0.6566
Si: 0.0000 0.0000 0.4234
Si: 0.0000 0.5000 0.2576

Top 12 peaks for 15 to 90 degrees two-theta, in order of rising 2θ:
- d 4.765, rel. 23
- d 3.743, rel. 64
- d 2.878, rel. 57
- d 2.504, rel. 100
- d 2.463, rel. 91
- d 2.035, rel. 54
- d 1.788, rel. 17
- d 1.726, rel. 23
- d 1.579, rel. 47
- d 1.391, rel. 19
- d 1.316, rel. 19
- d 1.242, rel. 21

=====

Record 2
# OsI4Cl
Theoretical powder diffraction line list, CuKα. Input: the GGA-PBE geometry in OQMD.
No peak broadening, texture or thermal motion is included.

Structural model:
Unit cell a=6.9703 b=7.3726 c=9.8163 alpha=110.33 beta=90.86 gamma=117.77
Space group P-1 (No. 2)
One atom of each set of equivalent atoms:
Os: 0.1034 0.2186 0.2220
I: 0.1238 0.6014 0.8362
I: 0.2473 0.1939 0.9628
I: 0.3171 0.0240 0.2726
I: 0.4545 0.6126 0.3665
Cl: 0.0613 0.8197 0.5803

Top 12 peaks for 15 to 90 degrees two-theta, in order of rising 2θ:
- d 5.587, rel. 82
- d 4.497, rel. 38
- d 4.040, rel. 33
- d 3.134, rel. 34
- d 3.032, rel. 100
- d 2.946, rel. 75
- d 2.913, rel. 38
- d 2.904, rel. 95
- d 2.318, rel. 31
- d 2.293, rel. 33
- d 1.983, rel. 34
- d 1.965, rel. 37

=====

Record 3
# LaSmI2BrN
Theoretical powder diffraction line list, CuKα. Input: the GGA-PBE geometry in OQMD.
No peak broadening, texture or thermal motion is included.

Structural model:
Unit cell a=19.5667 b=4.1329 c=12.4246 alpha=90.00 beta=123.91 gamma=90.00
Space group C2/m (No. 12)
One atom of each set of equivalent atoms:
La: 0.1314 0.0000 0.2751
Sm: 0.0707 0.5000 0.9582
I: 0.1615 0.5000 0.5102
I: 0.2189 0.0000 0.1132
Br: 0.0383 0.0000 0.7632
N: 0.0711 0.5000 0.1453

Top 12 peaks for 15 to 90 degrees two-theta, in order of rising 2θ:
- d 3.571, rel. 47
- d 3.490, rel. 32
- d 3.398, rel. 43
- d 3.215, rel. 29
- d 3.093, rel. 48
- d 3.072, rel. 56
- d 2.971, rel. 100
- d 2.691, rel. 34
- d 2.476, rel. 30
- d 2.300, rel. 51
- d 2.258, rel. 30
- d 2.066, rel. 42

=====

Record 4
# GdDy2TmGa2
Theoretical powder diffraction line list, CuKα. Input: the GGA-PBE geometry in OQMD.
No peak broadening, texture or thermal motion is included.

Structural model:
Unit cell a=5.1513 b=5.1513 c=6.5988 alpha=90.00 beta=90.00 gamma=120.00
Space group P-6m2 (No. 187)
One atom of each set of equivalent atoms:
Gd: 0.0000 0.0000 0.0000
Dy: 0.6667 0.3333 0.2536
Tm: 0.3333 0.6667 0.5000
Ga: 0.0000 0.0000 0.5000
Ga: 0.3333 0.6667 0.0000

Top 12 peaks for 15 to 90 degrees two-theta, in order of rising 2θ:
- d 4.461, rel. 4
- d 3.696, rel. 18
- d 2.653, rel. 100
- d 2.576, rel. 93
- d 1.848, rel. 35
- d 1.650, rel. 8
- d 1.501, rel. 35
- d 1.487, rel. 17
- d 1.389, rel. 27
- d 1.288, rel. 11
- d 1.159, rel. 15
- d 1.105, rel. 13